# TlBiMoF6
Computed XRD peak list, Cu Ka. Input: the PBE+U geometry in Alexandria.

Cell and atoms:
abc: 5.211 5.335 6.525
angles: 108.51 107.03 94.85
Fractional coordinates of all 9 atoms:
Tl: 0.000 0.000 0.000
Bi: 0.663 0.663 0.276
Mo: 0.325 0.325 0.640
F: 0.012 0.012 0.597
F: 0.029 0.437 0.395
F: 0.270 0.600 0.931
F: 0.441 0.030 0.391
F: 0.602 0.273 0.925
F: 0.622 0.623 0.655

Largest 8 diffraction maxima, low angle first, 15 to 90 degrees two-theta:
(hkl), d (Å), 2θ/deg, intensity
1 -1 0, 3.882, 22.91, 89
1 1 -1, 3.546, 25.11, 86
1 0 1, 3.243, 27.50, 100
0 1 -2, 3.031, 29.47, 40
1 0 -2, 2.984, 29.94, 39
0 2 -1, 2.651, 33.81, 24
2 -1 1, 2.095, 43.18, 39
2 -2 0, 1.941, 46.81, 30